Structure and simulated X-ray diffraction stick pattern of Ho7Er5Tm (a cell relaxed with PBE; Cu Kα).

Peak list (10 most intense, 2θ from 15° to 90°, most intense first)
(1 3 1), 31.7°, intensity 100; (4 0 0), 32.3°, intensity 69; (4 6 0), 58.6°, intensity 24; (4 0 -2), 32.5°, intensity 24; (0 4 1), 35.2°, intensity 19; (1 3 -1), 27.2°, intensity 18; (3 3 -3), 49.1°, intensity 18; (5 3 1), 57.2°, intensity 16; (2 0 -2), 28.0°, intensity 12; (3 1 -2), 30.2°, intensity 11

Crystal structure
abc: 12.7704 11.4950 6.3690
angles: 90.00 119.80 90.00
Space group Cm (No. 8)
One atom of each set of equivalent atoms:
Ho 0.0000 0.0000 0.0000
Ho 0.0002 0.0000 0.4549
Ho 0.2337 0.1654 0.5083
Ho 0.2556 0.0000 0.0193
Ho 0.2667 0.3351 0.0406
Er 0.9998 0.2264 0.6519
Er 0.0010 0.3419 0.1197
Er 0.0008 0.5000 0.6278
Tm 0.2455 0.5000 0.5089

***

Structure and simulated X-ray diffraction stick pattern of Ho7Er4Tm (a cell relaxed with PBE; Cu Kα).

Peak list (10 most intense, 2θ from 15° to 90°, most intense first)
(1 -2 0), 32.1°, intensity 100; (2 0 -1), 32.8°, intensity 51; (2 0 2), 31.5°, intensity 38; (0 0 3), 30.9°, intensity 35; (1 2 2), 33.0°, intensity 32; (-3 2 1), 58.2°, intensity 24; (0 1 3), 33.3°, intensity 18; (0 4 -1), 56.8°, intensity 12; (3 2 1), 47.6°, intensity 12; (1 -2 3), 43.5°, intensity 12

Crystal structure
abc: 6.4138 6.7085 8.9367
angles: 86.11 76.67 82.08
Space group P-1 (No. 2)
One atom of each set of equivalent atoms:
Ho 0.0000 0.0000 0.0000
Ho 0.1921 0.6053 0.3868
Ho 0.3135 0.2021 0.6412
Ho 0.4866 0.7487 0.0513
Er 0.1597 0.1153 0.3112
Er 0.3590 0.6942 0.7155
Tm 0.0000 0.5000 0.0000